Starting from a crystal structure in Alexandria, relaxed with PBE, the powder diffraction line list of Pm5Ho2Sc4 was simulated for a wavelength of 1.5418 Å.
Kinematic intensities with the Lorentz-polarization factor, no thermal factor.

Main lines, in order of rising 2θ (2θ = 15–90°):
25.6°, intensity 100
29.0°, intensity 65
29.2°, intensity 42
31.1°, intensity 28
31.4°, intensity 33
32.8°, intensity 56
33.3°, intensity 69
38.0°, intensity 43
43.6°, intensity 28
47.3°, intensity 28

Structural model:
Cell: 12.338 12.338 12.338 Å, 163.98 138.37 44.88°
Atoms (fractional coordinates):
Pm  0.000  0.000  0.000
Pm  0.061  0.358  0.703
Pm  0.344  0.642  0.703
Pm  0.656  0.358  0.297
Pm  0.939  0.642  0.297
Ho  0.270  0.770  0.500
Ho  0.730  0.230  0.500
Sc  0.324  0.500  0.824
Sc  0.407  0.907  0.500
Sc  0.593  0.093  0.500
Sc  0.676  0.500  0.176

=====

Starting from a crystal structure in Alexandria, relaxed with PBE, the powder diffraction line list of AlAs2W was simulated for a wavelength of 1.5418 Å.
Kinematic intensities with the Lorentz-polarization factor, no thermal factor.

Main lines, in order of rising 2θ (2θ = 15–90°):
19.3°, intensity 38
19.8°, intensity 30
28.2°, intensity 50
34.4°, intensity 64
39.2°, intensity 36
40.3°, intensity 31
45.1°, intensity 100
49.0°, intensity 23
57.5°, intensity 22
75.2°, intensity 22

Structural model:
Cell: 4.591 4.787 4.787 Å, 41.32 90.00 90.00°
Atoms (fractional coordinates):
Al  0.000  0.000  0.000
As  0.000  0.278  0.278
As  0.500  0.691  0.691
W  0.500  0.410  0.410

=====

Starting from a crystal structure in Alexandria, relaxed with PBE, the powder diffraction line list of NdYTc was simulated for a wavelength of 1.5418 Å.
Kinematic intensities with the Lorentz-polarization factor, no thermal factor.

Main lines, in order of rising 2θ (2θ = 15–90°):
25.3°, intensity 48
27.4°, intensity 93
29.1°, intensity 70
31.1°, intensity 57
31.4°, intensity 73
34.3°, intensity 55
34.5°, intensity 74
38.0°, intensity 67
40.3°, intensity 100
55.1°, intensity 40

Structural model:
Cell: 7.131 7.131 7.691 Å, 90.00 90.00 120.72°
Atoms (fractional coordinates):
Nd  0.197  0.803  0.887
Nd  0.303  0.697  0.387
Nd  0.697  0.303  0.613
Nd  0.803  0.197  0.113
Y  0.208  0.292  0.750
Y  0.292  0.208  0.250
Y  0.708  0.792  0.750
Y  0.792  0.708  0.250
Tc  0.097  0.903  0.537
Tc  0.403  0.597  0.037
Tc  0.597  0.403  0.963
Tc  0.903  0.097  0.463

=====

Starting from a crystal structure in Alexandria, relaxed with PBE, the powder diffraction line list of Li3TlAu was simulated for a wavelength of 1.5418 Å.
Kinematic intensities with the Lorentz-polarization factor, no thermal factor.

Main lines, in order of rising 2θ (2θ = 15–90°):
16.0°, intensity 79
26.6°, intensity 86
26.8°, intensity 84
27.4°, intensity 100
37.8°, intensity 24
38.3°, intensity 83
38.4°, intensity 52
38.9°, intensity 29
39.1°, intensity 29
47.9°, intensity 28

Structural model:
Cell: 4.684 5.696 7.370 Å, 102.66 108.51 90.46°
Atoms (fractional coordinates):
Li  0.009  0.247  0.016
Li  0.203  0.724  0.404
Li  0.374  0.569  0.749
Li  0.626  0.431  0.251
Li  0.797  0.276  0.596
Li  0.991  0.753  0.984
Tl  0.397  0.090  0.792
Tl  0.603  0.910  0.208
Au  0.191  0.226  0.383
Au  0.809  0.774  0.617

=====

Starting from a crystal structure in Alexandria, relaxed with PBE, the powder diffraction line list of LiHf2Ga3 was simulated for a wavelength of 1.5418 Å.
Kinematic intensities with the Lorentz-polarization factor, no thermal factor.

Main lines, in order of rising 2θ (2θ = 15–90°):
23.8°, intensity 41
37.2°, intensity 100
41.9°, intensity 56
48.7°, intensity 6
57.3°, intensity 29
58.4°, intensity 8
63.9°, intensity 6
73.4°, intensity 28
74.4°, intensity 20
76.4°, intensity 9

Structural model:
Cell: 8.631 8.115 5.352 Å, 76.70 66.19 37.11°
Atoms (fractional coordinates):
Li  0.167  0.167  0.833
Li  0.833  0.833  0.167
Hf  0.250  0.250  0.250
Hf  0.253  0.747  0.747
Hf  0.747  0.253  0.253
Hf  0.750  0.750  0.750
Ga  0.159  0.671  0.329
Ga  0.329  0.841  0.159
Ga  0.330  0.330  0.670
Ga  0.670  0.670  0.330
Ga  0.671  0.159  0.841
Ga  0.841  0.329  0.671

=====

Starting from a crystal structure in Alexandria, relaxed with PBE, the powder diffraction line list of Ac2Tb4Sm3 was simulated for a wavelength of 1.5418 Å.
Kinematic intensities with the Lorentz-polarization factor, no thermal factor.

Main lines, in order of rising 2θ (2θ = 15–90°):
29.4°, intensity 29
29.5°, intensity 30
31.3°, intensity 100
42.1°, intensity 22
47.4°, intensity 8
53.3°, intensity 12
53.4°, intensity 21
53.5°, intensity 11
56.8°, intensity 13
70.3°, intensity 9

Structural model:
Cell: 8.908 8.908 6.499 Å, 104.64 104.64 39.73°
Atoms (fractional coordinates):
Ac  0.170  0.170  0.349
Ac  0.830  0.830  0.651
Tb  0.059  0.059  0.779
Tb  0.283  0.283  0.925
Tb  0.717  0.717  0.075
Tb  0.941  0.941  0.221
Sm  0.399  0.399  0.443
Sm  0.500  0.500  0.000
Sm  0.601  0.601  0.557

=====

Starting from a crystal structure in Alexandria, relaxed with PBE, the powder diffraction line list of BaNiN4 was simulated for a wavelength of 1.5418 Å.
Kinematic intensities with the Lorentz-polarization factor, no thermal factor.

Main lines, in order of rising 2θ (2θ = 15–90°):
20.1°, intensity 17
22.7°, intensity 88
28.5°, intensity 68
32.0°, intensity 23
36.8°, intensity 100
40.8°, intensity 25
41.4°, intensity 55
56.1°, intensity 19
59.5°, intensity 42
65.0°, intensity 17

Structural model:
Cell: 6.259 6.259 5.016 Å, 90.00 90.00 90.00°
Atoms (fractional coordinates):
Ba  0.000  0.500  0.000
Ba  0.500  0.000  0.500
Ni  0.000  0.000  0.250
Ni  0.000  0.000  0.750
N  0.272  0.408  0.500
N  0.272  0.592  0.500
N  0.408  0.272  0.000
N  0.408  0.728  0.000
N  0.592  0.272  0.000
N  0.592  0.728  0.000
N  0.728  0.408  0.500
N  0.728  0.592  0.500

=====

Starting from a crystal structure in Alexandria, relaxed with PBE, the powder diffraction line list of LiTh4Ge8 was simulated for a wavelength of 1.5418 Å.
Kinematic intensities with the Lorentz-polarization factor, no thermal factor.

Main lines, in order of rising 2θ (2θ = 15–90°):
21.8°, intensity 14
24.2°, intensity 32
26.4°, intensity 17
31.6°, intensity 15
33.9°, intensity 23
34.5°, intensity 100
38.7°, intensity 19
43.0°, intensity 17
44.4°, intensity 16
50.0°, intensity 13

Structural model:
Cell: 4.081 4.203 16.994 Å, 90.00 90.00 90.00°
Atoms (fractional coordinates):
Li  0.000  0.000  0.000
Th  0.000  0.000  0.784
Th  0.000  0.500  0.291
Th  0.500  0.000  0.572
Th  0.500  0.500  0.077
Ge  0.000  0.000  0.142
Ge  0.000  0.000  0.431
Ge  0.000  0.500  0.629
Ge  0.000  0.500  0.923
Ge  0.500  0.000  0.236
Ge  0.500  0.000  0.922
Ge  0.500  0.500  0.432
Ge  0.500  0.500  0.726

=====

- Which formula does entry 8 have?
  LiTh4Ge8